# 1
# Rb2PuO4
Calculated X-ray diffraction stick pattern, copper Kα. Input: a DFT-relaxed cell (GGA-PBE, the Materials Project).
Kinematic intensities with the Lorentz-polarization factor, no thermal factor.

Structural model:
```
data_Rb2PuO4
_chemical_formula_sum 'Rb4 Pu2 O8'
_cell_length_a 4.3674
_cell_length_b 4.3674
_cell_length_c 14.1375
_cell_angle_alpha 90.00
_cell_angle_beta 90.00
_cell_angle_gamma 90.00
_symmetry_space_group_name_H-M 'I 4/m m m'
_symmetry_Int_Tables_number 139
_symmetry_space_group_name_Hall '-I 4 2'
loop_
_atom_site_label
_atom_site_type_symbol
_atom_site_fract_x
_atom_site_fract_y
_atom_site_fract_z
Rb1 Rb 0.0000 0.0000 0.1501
Pu1 Pu 0.0000 0.0000 0.5000
O1 O 0.0000 0.0000 0.3639
O2 O 0.0000 0.5000 0.0000
```

Main lines, by angle (2θ from 10° to 80°):
(0 0 2), d = 7.069 Å, 12.5 deg, intensity 505
(1 0 1), d = 4.173 Å, 21.3 deg, intensity 328
(1 0 3), d = 3.203 Å, 27.9 deg, intensity 1000
(1 1 0), d = 3.088 Å, 28.9 deg, intensity 554
(1 0 5), d = 2.373 Å, 37.9 deg, intensity 158
(0 0 6), d = 2.356 Å, 38.2 deg, intensity 141
(2 0 0), d = 2.184 Å, 41.3 deg, intensity 282
(1 1 6), d = 1.873 Å, 48.6 deg, intensity 205
(2 1 3), d = 1.804 Å, 50.6 deg, intensity 401
(2 0 6), d = 1.602 Å, 57.5 deg, intensity 166

=====

# 2
# RbPuO3
Calculated X-ray diffraction stick pattern, copper Kα. Input: a DFT-relaxed cell (GGA-PBE, the Materials Project).
Kinematic intensities with the Lorentz-polarization factor, no thermal factor.

Structural model:
```
data_RbPuO3
_chemical_formula_sum 'Rb1 Pu1 O3'
_cell_length_a 4.3194
_cell_length_b 4.3194
_cell_length_c 4.3194
_cell_angle_alpha 90.00
_cell_angle_beta 90.00
_cell_angle_gamma 90.00
_symmetry_space_group_name_H-M 'P m -3 m'
_symmetry_Int_Tables_number 221
_symmetry_space_group_name_Hall '-P 4 2 3'
loop_
_atom_site_label
_atom_site_type_symbol
_atom_site_fract_x
_atom_site_fract_y
_atom_site_fract_z
Rb1 Rb 0.0000 0.0000 0.0000
Pu1 Pu 0.5000 0.5000 0.5000
O1 O 0.0000 0.5000 0.5000
```

Main lines, by angle (2θ from 10° to 80°):
(1 0 0), d = 4.319 Å, 20.6 deg, intensity 339
(1 1 0), d = 3.054 Å, 29.2 deg, intensity 1000
(1 1 1), d = 2.494 Å, 36.0 deg, intensity 40
(2 0 0), d = 2.160 Å, 41.8 deg, intensity 283
(2 1 0), d = 1.932 Å, 47.0 deg, intensity 164
(2 1 1), d = 1.763 Å, 51.8 deg, intensity 424
(2 2 0), d = 1.527 Å, 60.6 deg, intensity 184
(3 0 0), d = 1.440 Å, 64.7 deg, intensity 80
(3 1 0), d = 1.366 Å, 68.7 deg, intensity 188
(2 2 2), d = 1.247 Å, 76.4 deg, intensity 62

=====

# 3
# Pu2SO2
Calculated X-ray diffraction stick pattern, copper Kα. Input: a DFT-relaxed cell (GGA-PBE, the Materials Project).
Kinematic intensities with the Lorentz-polarization factor, no thermal factor.

Structural model:
```
data_Pu2SO2
_chemical_formula_sum 'Pu2 S1 O2'
_cell_length_a 3.8678
_cell_length_b 3.8678
_cell_length_c 6.6500
_cell_angle_alpha 90.00
_cell_angle_beta 90.00
_cell_angle_gamma 120.00
_symmetry_space_group_name_H-M 'P -3 m 1'
_symmetry_Int_Tables_number 164
_symmetry_space_group_name_Hall '-P 3 2"'
loop_
_atom_site_label
_atom_site_type_symbol
_atom_site_fract_x
_atom_site_fract_y
_atom_site_fract_z
Pu1 Pu 0.3333 0.6667 0.2755
S1 S 0.0000 0.0000 0.0000
O1 O 0.3333 0.6667 0.6289
```

Main lines, by angle (2θ from 10° to 80°):
(1 0 0), d = 3.350 Å, 26.6 deg, intensity 209
(0 0 2), d = 3.325 Å, 26.8 deg, intensity 246
(0 1 1), d = 2.992 Å, 29.9 deg, intensity 1000
(1 0 2), d = 2.360 Å, 38.1 deg, intensity 265
(1 1 0), d = 1.934 Å, 47.0 deg, intensity 277
(0 1 3), d = 1.849 Å, 49.3 deg, intensity 258
(1 1 2), d = 1.672 Å, 54.9 deg, intensity 218
(2 0 1), d = 1.624 Å, 56.7 deg, intensity 176
(2 0 3), d = 1.336 Å, 70.5 deg, intensity 90
(1 2 1), d = 1.244 Å, 76.6 deg, intensity 151

=====

# 4
# PuSbO3
Calculated X-ray diffraction stick pattern, copper Kα. Input: a DFT-relaxed cell (GGA-PBE, the Materials Project).
Kinematic intensities with the Lorentz-polarization factor, no thermal factor.

Structural model:
```
data_PuSbO3
_chemical_formula_sum 'Pu1 Sb1 O3'
_cell_length_a 4.3157
_cell_length_b 4.3157
_cell_length_c 4.3157
_cell_angle_alpha 90.00
_cell_angle_beta 90.00
_cell_angle_gamma 90.00
_symmetry_space_group_name_H-M 'P m -3 m'
_symmetry_Int_Tables_number 221
_symmetry_space_group_name_Hall '-P 4 2 3'
loop_
_atom_site_label
_atom_site_type_symbol
_atom_site_fract_x
_atom_site_fract_y
_atom_site_fract_z
Pu1 Pu 0.0000 0.0000 0.0000
Sb1 Sb 0.5000 0.5000 0.5000
O1 O 0.0000 0.0000 0.5000
```

Main lines, by angle (2θ from 10° to 80°):
(1 0 0), d = 4.316 Å, 20.6 deg, intensity 170
(1 1 0), d = 3.052 Å, 29.3 deg, intensity 1000
(1 1 1), d = 2.492 Å, 36.0 deg, intensity 14
(2 0 0), d = 2.158 Å, 41.9 deg, intensity 273
(2 1 0), d = 1.930 Å, 47.1 deg, intensity 83
(2 1 1), d = 1.762 Å, 51.9 deg, intensity 423
(2 2 0), d = 1.526 Å, 60.7 deg, intensity 177
(3 0 0), d = 1.439 Å, 64.8 deg, intensity 41
(3 1 0), d = 1.365 Å, 68.8 deg, intensity 186
(2 2 2), d = 1.246 Å, 76.5 deg, intensity 60

=====

# 5
# PuSe2O6
Calculated X-ray diffraction stick pattern, copper Kα. Input: a DFT-relaxed cell (GGA-PBE, the Materials Project).
Kinematic intensities with the Lorentz-polarization factor, no thermal factor.

Structural model:
```
data_PuSe2O6
_chemical_formula_sum 'Pu4 Se8 O24'
_cell_length_a 7.0999
_cell_length_b 10.8251
_cell_length_c 8.6694
_cell_angle_alpha 90.00
_cell_angle_beta 125.33
_cell_angle_gamma 90.00
_symmetry_space_group_name_H-M 'P 1 21/c 1'
_symmetry_Int_Tables_number 14
loop_
_symmetry_equiv_pos_as_xyz
'x,y,z'
'-x,-y,-z'
'-x,y+1/2,-z+1/2'
'x,-y+1/2,z+1/2'
loop_
_atom_site_label
_atom_site_type_symbol
_atom_site_fract_x
_atom_site_fract_y
_atom_site_fract_z
Pu1 Pu 0.2488 0.0958 0.4943
Se1 Se 0.1939 0.7147 0.9298
Se2 Se 0.2820 0.0733 0.0671
O1 O 0.0109 0.5967 0.9163
O2 O 0.0517 0.7432 0.1983
O3 O 0.1550 0.0924 0.1853
O4 O 0.3861 0.6012 0.9549
O5 O 0.4144 0.2166 0.1088
O6 O 0.4756 0.0195 0.7856
```

Main lines, by angle (2θ from 10° to 80°):
(0 1 1), d = 5.921 Å, 15.0 deg, intensity 865
(1 1 0), d = 5.107 Å, 17.4 deg, intensity 239
(0 0 2), d = 3.536 Å, 25.2 deg, intensity 561
(2 0 -2), d = 3.404 Å, 26.2 deg, intensity 782
(1 3 0), d = 3.063 Å, 29.2 deg, intensity 1000
(2 0 0), d = 2.896 Å, 30.9 deg, intensity 324
(1 3 -2), d = 2.772 Å, 32.3 deg, intensity 450
(1 3 2), d = 2.028 Å, 44.7 deg, intensity 221
(3 3 -2), d = 1.978 Å, 45.9 deg, intensity 431
(4 0 -4), d = 1.702 Å, 53.9 deg, intensity 293

=====

# 6
# Pu2SiO10
Calculated X-ray diffraction stick pattern, copper Kα. Input: a DFT-relaxed cell (GGA-PBE, the Materials Project).
Kinematic intensities with the Lorentz-polarization factor, no thermal factor.

Structural model:
```
data_Pu2SiO10
_chemical_formula_sum 'Pu8 Si4 O40'
_cell_length_a 7.1161
_cell_length_b 7.1161
_cell_length_c 17.9231
_cell_angle_alpha 90.00
_cell_angle_beta 90.00
_cell_angle_gamma 90.00
_symmetry_space_group_name_H-M 'I 41/a m d'
_symmetry_Int_Tables_number 141
loop_
_symmetry_equiv_pos_as_xyz
'x,y,z'
'-x,-y,-z'
'-y+1/4,x+3/4,z+1/4'
'y+1/4,-x+3/4,-z+1/4'
'-x+1/2,-y,z+1/2'
'x+1/2,y,-z+1/2'
'y+1/4,-x+1/4,z+3/4'
'-y+1/4,x+1/4,-z+3/4'
'x,-y,-z'
'-x,y,z'
'-y+1/4,-x+1/4,-z+3/4'
'y+1/4,x+1/4,z+3/4'
'-x+1/2,y,-z+1/2'
'x+1/2,-y,z+1/2'
'y+1/4,x+3/4,-z+1/4'
'-y+1/4,-x+3/4,z+1/4'
'x+1/2,y+1/2,z+1/2'
'-x+1/2,-y+1/2,-z+1/2'
'-y+3/4,x+1/4,z+3/4'
'y+3/4,-x+1/4,-z+3/4'
'-x,-y+1/2,z'
'x,y+1/2,-z'
'y+3/4,-x+3/4,z+1/4'
'-y+3/4,x+3/4,-z+1/4'
'x+1/2,-y+1/2,-z+1/2'
'-x+1/2,y+1/2,z+1/2'
'-y+3/4,-x+3/4,-z+1/4'
'y+3/4,x+3/4,z+1/4'
'-x,y+1/2,-z'
'x,-y+1/2,z'
'y+3/4,x+1/4,-z+3/4'
'-y+3/4,-x+1/4,z+3/4'
loop_
_atom_site_label
_atom_site_type_symbol
_atom_site_fract_x
_atom_site_fract_y
_atom_site_fract_z
Pu1 Pu 0.0000 0.2500 0.0523
Si1 Si 0.0000 0.2500 0.8750
O1 O 0.0000 0.9997 0.2957
O2 O 0.0000 0.0776 0.9355
O3 O 0.0000 0.2500 0.1555
```

Main lines, by angle (2θ from 10° to 80°):
(1 0 1), d = 6.614 Å, 13.4 deg, intensity 896
(1 0 3), d = 4.576 Å, 19.4 deg, intensity 1000
(1 1 2), d = 4.388 Å, 20.2 deg, intensity 645
(2 0 0), d = 3.558 Å, 25.0 deg, intensity 851
(1 0 5), d = 3.201 Å, 27.9 deg, intensity 353
(2 1 1), d = 3.133 Å, 28.5 deg, intensity 210
(2 1 3), d = 2.809 Å, 31.9 deg, intensity 361
(1 1 6), d = 2.569 Å, 34.9 deg, intensity 438
(3 1 2), d = 2.183 Å, 41.4 deg, intensity 274
(3 1 6), d = 1.797 Å, 50.8 deg, intensity 359